PrHo3Tm5: simulated X-ray powder pattern (Cu Kα (weighted mean of Kα1 and Kα2)), based on a cell relaxed with PBE.
Intensities are scaled so that the largest is 100.

Atomic structure:
```
data_PrHo3Tm5
_chemical_formula_sum 'Pr4 Ho12 Tm20'
_cell_length_a 7.123
_cell_length_b 17.344
_cell_length_c 9.172
_cell_angle_alpha 90.00
_cell_angle_beta 90.00
_cell_angle_gamma 90.00
_symmetry_space_group_name_H-M 'I m m a'
_symmetry_Int_Tables_number 74
_symmetry_space_group_name_Hall '-I 2b 2'
loop_
_atom_site_label
_atom_site_type_symbol
_atom_site_fract_x
_atom_site_fract_y
_atom_site_fract_z
Pr1 Pr 0.000 0.250 0.049
Ho1 Ho 0.000 0.063 0.748
Ho2 Ho 0.250 0.250 0.750
Tm1 Tm 0.000 0.250 0.409
Tm2 Tm 0.248 0.086 0.070
```

Largest 10 diffraction maxima, low angle first, 2θ = 15–90°:
Position (°2θ)	d [Å]	intensity	hkl
29.7	3.011	59	0 1 3
30.9	2.891	61	0 6 0
31.1	2.879	100	2 3 1
33.5	2.676	64	2 2 2
38.1	2.360	27	2 4 2
39.3	2.294	36	0 5 3
51.3	1.781	17	4 0 0
53.4	1.717	20	2 8 2
58.8	1.570	30	2 3 5
61.1	1.516	18	4 6 0